[1]
Simulated XRD peak list
Compound: La6NdSmDy2
Radiation: Cu Kα
Structure: a PBE-relaxed structure
Lines closer than 0.1° are merged.

Peak list (10 most intense, 2θ from 10° to 90°, by angle)
2θ = 26.59°, intensity 516, hkl 1 1 2; 2θ = 29.49°, intensity 574, hkl 2 2 0; 2θ = 29.98°, intensity 1000, hkl 2 2 -1; 2θ = 30.52°, intensity 471, hkl 3 1 -2; 2θ = 30.65°, intensity 402, hkl 0 0 3; 2θ = 30.96°, intensity 663, hkl 3 1 1; 2θ = 32.09°, intensity 543, hkl 0 2 2; 2θ = 32.36°, intensity 441, hkl 1 1 -3; 2θ = 34.17°, intensity 324, hkl 4 0 -2; 2θ = 54.74°, intensity 329, hkl 2 2 4

Cell and atoms:
Cell: 11.3610 7.2415 8.9892 Å, 90.00 103.22 90.00°
Space group C2/m (No. 12)
Inequivalent atoms, fractional coordinates:
La (0.1383, 0.0000, 0.4362)
La (0.1785, 0.2774, 0.8007)
Nd (0.0000, 0.0000, 0.0000)
Sm (0.0000, 0.5000, 0.5000)
Dy (0.0919, 0.5000, 0.1609)

[2]
Simulated XRD peak list
Compound: La4Nd2SmDy2
Radiation: Cu Kα
Structure: a PBE-relaxed structure
Lines closer than 0.1° are merged.

Peak list (10 most intense, 2θ from 10° to 90°, by angle)
2θ = 29.78°, intensity 1000, hkl 3 1 1; 2θ = 34.33°, intensity 172, hkl 0 2 0; 2θ = 34.49°, intensity 169, hkl 6 0 -1; 2θ = 34.72°, intensity 166, hkl 0 0 3; 2θ = 49.46°, intensity 122, hkl 6 2 -1; 2θ = 49.66°, intensity 181, hkl 6 0 2; 2θ = 58.70°, intensity 146, hkl 3 3 1; 2θ = 58.91°, intensity 145, hkl 9 1 0; 2θ = 59.22°, intensity 142, hkl 3 1 4; 2θ = 61.84°, intensity 125, hkl 6 2 2

Cell and atoms:
Cell: 15.6031 5.2238 8.1717 Å, 90.00 108.48 90.00°
Space group C2/m (No. 12)
Inequivalent atoms, fractional coordinates:
La (0.0545, 0.0000, 0.3289)
La (0.2231, 0.5000, 0.3305)
Nd (0.1122, 0.5000, 0.6704)
Sm (0.0000, 0.5000, 0.0000)
Dy (0.1676, 0.0000, 0.9996)

[3]
Simulated XRD peak list
Compound: La5NdSmDy2
Radiation: Cu Kα
Structure: a PBE-relaxed structure
Lines closer than 0.1° are merged.

Peak list (10 most intense, 2θ from 10° to 90°, by angle)
2θ = 27.85°, intensity 805, hkl 2 1 3; 2θ = 28.32°, intensity 456, hkl 2 2 0; 2θ = 29.87°, intensity 1000, hkl 2 0 4; 2θ = 31.74°, intensity 229, hkl 3 1 0; 2θ = 35.79°, intensity 186, hkl 2 1 5; 2θ = 36.77°, intensity 210, hkl 3 2 1; 2θ = 44.93°, intensity 154, hkl 0 0 8; 2θ = 45.20°, intensity 141, hkl 4 1 3; 2θ = 51.11°, intensity 147, hkl 4 2 4; 2θ = 58.54°, intensity 172, hkl 4 4 0

Cell and atoms:
Cell: 8.9148 8.9148 16.1405 Å, 90.00 90.00 90.00°
Space group I4/mcm (No. 140)
Inequivalent atoms, fractional coordinates:
La (0.0000, 0.0000, 0.0000)
La (0.1958, 0.3042, 0.1385)
Nd (0.0000, 0.5000, 0.2500)
Sm (0.0000, 0.0000, 0.2500)
Dy (0.1189, 0.3811, 0.5000)

[4]
Simulated XRD peak list
Compound: La5NdSm2Dy
Radiation: Cu Kα
Structure: a PBE-relaxed structure
Lines closer than 0.1° are merged.

Peak list (10 most intense, 2θ from 10° to 90°, by angle)
2θ = 27.44°, intensity 550, hkl 2 2 0; 2θ = 27.90°, intensity 544, hkl 2 1 3; 2θ = 30.44°, intensity 1000, hkl 2 0 4; 2θ = 30.76°, intensity 140, hkl 3 1 0; 2θ = 32.97°, intensity 123, hkl 3 1 2; 2θ = 35.71°, intensity 214, hkl 3 2 1; 2θ = 40.91°, intensity 133, hkl 4 1 1; 2θ = 41.02°, intensity 130, hkl 4 0 2; 2θ = 50.42°, intensity 209, hkl 4 2 4; 2θ = 55.86°, intensity 119, hkl 2 2 8

Cell and atoms:
Cell: 9.1920 9.1920 15.2719 Å, 90.00 90.00 90.00°
Space group I4/mcm (No. 140)
Inequivalent atoms, fractional coordinates:
La (0.0000, 0.0000, 0.0000)
La (0.2067, 0.2933, 0.1391)
Nd (0.0000, 0.0000, 0.2500)
Sm (0.1134, 0.3866, 0.5000)
Dy (0.0000, 0.5000, 0.2500)

[5]
Simulated XRD peak list
Compound: La3TbNdDy
Radiation: Cu Kα
Structure: a PBE-relaxed structure
Lines closer than 0.1° are merged.

Peak list (10 most intense, 2θ from 10° to 90°, by angle)
2θ = 29.78°, intensity 1000, hkl 0 1 2; 2θ = 29.89°, intensity 330, hkl 3 0 1; 2θ = 34.55°, intensity 674, hkl 3 1 -1; 2θ = 49.59°, intensity 242, hkl 0 2 0; 2θ = 49.74°, intensity 239, hkl 6 0 -2; 2θ = 58.92°, intensity 193, hkl 3 2 1; 2θ = 59.01°, intensity 237, hkl 6 1 -4; 2θ = 59.12°, intensity 142, hkl 6 1 0; 2θ = 61.85°, intensity 124, hkl 0 2 4; 2θ = 83.33°, intensity 106, hkl 6 2 2

Cell and atoms:
Cell: 10.9982 3.6794 11.0150 Å, 90.00 109.62 90.00°
Space group P2_1/m (No. 11)
Inequivalent atoms, fractional coordinates:
La (0.0398, 0.2500, 0.3707)
La (0.2915, 0.7500, 0.6255)
La (0.4547, 0.7500, 0.1223)
Tb (0.1222, 0.7500, 0.1199)
Nd (0.3724, 0.2500, 0.3714)
Dy (0.2057, 0.2500, 0.8790)

[6]
Simulated XRD peak list
Compound: LaTb5NdDy2
Radiation: Cu Kα
Structure: a PBE-relaxed structure
Lines closer than 0.1° are merged.

Peak list (10 most intense, 2θ from 10° to 90°, by angle)
2θ = 28.52°, intensity 605, hkl 2 1 3; 2θ = 28.66°, intensity 471, hkl 2 2 0; 2θ = 30.79°, intensity 1000, hkl 2 0 4; 2θ = 32.13°, intensity 181, hkl 3 1 0; 2θ = 36.97°, intensity 200, hkl 2 1 5; 2θ = 37.25°, intensity 206, hkl 3 2 1; 2θ = 42.71°, intensity 243, hkl 4 0 2; 2θ = 47.05°, intensity 147, hkl 0 0 8; 2θ = 52.10°, intensity 194, hkl 4 2 4; 2θ = 56.02°, intensity 135, hkl 2 2 8

Cell and atoms:
Cell: 8.8106 8.8106 15.4515 Å, 90.00 90.00 90.00°
Space group I4/mcm (No. 140)
Inequivalent atoms, fractional coordinates:
La (0.0000, 0.0000, 0.2500)
Tb (0.0000, 0.0000, 0.0000)
Tb (0.2015, 0.2985, 0.1323)
Nd (0.0000, 0.5000, 0.2500)
Dy (0.1170, 0.3830, 0.5000)

[7]
Simulated XRD peak list
Compound: La2TbNdDy5
Radiation: Cu Kα
Structure: a PBE-relaxed structure
Lines closer than 0.1° are merged.

Peak list (10 most intense, 2θ from 10° to 90°, by angle)
2θ = 28.55°, intensity 428, hkl 2 1 3; 2θ = 29.21°, intensity 527, hkl 2 2 0; 2θ = 30.50°, intensity 1000, hkl 2 0 4; 2θ = 32.75°, intensity 122, hkl 3 1 0; 2θ = 37.94°, intensity 135, hkl 3 2 1; 2θ = 39.82°, intensity 99, hkl 2 0 6; 2θ = 45.51°, intensity 111, hkl 0 0 8; 2θ = 46.55°, intensity 102, hkl 4 1 3; 2θ = 52.61°, intensity 250, hkl 4 2 4; 2θ = 55.00°, intensity 124, hkl 2 2 8

Cell and atoms:
Cell: 8.6475 8.6475 15.9435 Å, 90.00 90.00 90.00°
Space group I4/mcm (No. 140)
Inequivalent atoms, fractional coordinates:
La (0.1186, 0.3814, 0.0000)
Tb (0.0000, 0.0000, 0.2500)
Nd (0.0000, 0.5000, 0.2500)
Dy (0.0000, 0.0000, 0.0000)
Dy (0.2138, 0.2862, 0.3585)

[8]
Simulated XRD peak list
Compound: La3Tb6NdDy2
Radiation: Cu Kα
Structure: a PBE-relaxed structure
Lines closer than 0.1° are merged.

Peak list (10 most intense, 2θ from 10° to 90°, by angle)
2θ = 30.27°, intensity 1000, hkl 1 3 1; 2θ = 30.40°, intensity 328, hkl 0 0 4; 2θ = 35.13°, intensity 672, hkl 2 0 2; 2θ = 50.44°, intensity 242, hkl 0 6 0; 2θ = 50.62°, intensity 237, hkl 1 3 5; 2θ = 60.01°, intensity 429, hkl 4 0 0; 2θ = 60.20°, intensity 140, hkl 2 0 6; 2θ = 62.95°, intensity 124, hkl 2 6 2; 2θ = 82.10°, intensity 118, hkl 4 6 0; 2θ = 84.74°, intensity 110, hkl 5 3 1

Cell and atoms:
Cell: 6.2665 10.8582 11.9443 Å, 90.00 100.08 90.00°
Space group C2/m (No. 12)
Inequivalent atoms, fractional coordinates:
La (0.0000, 0.0000, 0.0000)
La (0.0000, 0.3330, 0.0000)
Tb (0.2476, 0.0000, 0.7458)
Tb (0.2487, 0.3330, 0.7457)
Nd (0.0000, 0.5000, 0.5000)
Dy (0.0000, 0.1667, 0.5000)